Computed XRD peak list of La8Ni3IrI4 for a wavelength of 1.5418 Å, from a DFT-relaxed cell (PBE, Alexandria).

Structure:
```
La8Ni3IrI4
1.0
7.3224 -4.2199 0.0000
7.3224 4.2199 0.0000
-4.8878 0.0000 8.2381
La Ni Ir I
8 3 1 4
direct
0.2275 0.2275 0.6816 La
0.2288 0.7287 0.6852 La
0.2713 0.7712 0.3148 La
0.2715 0.2715 0.3149 La
0.7285 0.7285 0.6851 La
0.7287 0.2288 0.6852 La
0.7712 0.2713 0.3148 La
0.7725 0.7725 0.3184 La
0.0000 0.0000 0.5000 Ni
0.0000 0.5000 0.5000 Ni
0.5000 0.0000 0.5000 Ni
0.5000 0.5000 0.5000 Ir
0.0000 0.0000 0.0000 I
0.0000 0.5000 0.0000 I
0.5000 0.0000 0.0000 I
0.5000 0.5000 0.0000 I
```

Top 10 peaks for 10° ≤ 2θ ≤ 80°, by intensity:
2θ (°)  d [Å]  Rel. int.
28.35  3.148  1000
42.82  2.112  385
38.13  2.360  260
52.16  1.754  181
54.84  1.674  127
30.41  2.939  109
35.33  2.540  103
69.66  1.350  101
32.61  2.746  98
10.74  8.238  96



Computed XRD peak list of Li3TbCu8 for a wavelength of 1.5418 Å, from a DFT-relaxed cell (PBE, Alexandria).

Structure:
```
Li3TbCu8
1.0
4.9862 0.0000 0.0000
-2.4931 4.3181 0.0000
0.0000 0.0000 8.1534
Li Tb Cu
3 1 8
direct
0.0000 0.0000 0.0000 Li
0.0000 0.0000 0.3470 Li
0.3333 0.6667 0.9063 Li
0.3333 0.6667 0.5073 Tb
0.0012 0.5006 0.1896 Cu
0.3286 0.1643 0.6996 Cu
0.4994 0.5006 0.1896 Cu
0.4994 0.9988 0.1896 Cu
0.6667 0.3333 0.4416 Cu
0.6667 0.3333 0.9427 Cu
0.8357 0.1643 0.6996 Cu
0.8357 0.6714 0.6996 Cu
```

Top 10 peaks for 10° ≤ 2θ ≤ 80°, by intensity:
2θ (°)  d [Å]  Rel. int.
43.35  2.087  1000
42.50  2.127  927
23.31  3.816  681
20.57  4.318  560
39.16  2.300  522
10.85  8.153  468
47.66  1.908  381
30.15  2.964  332
72.66  1.301  258
44.45  2.038  257